# 1
For CaSn5O7, a structure optimized by DFT (GGA-PBE) gives the calculated PXRD pattern in this record (CuKα).
Neutral-atom scattering factors, no anomalous dispersion.

abc: 3.2306 10.7512 23.0487
angles: 90.00 90.00 90.00
Space group Cmcm (No. 63)
Asymmetric unit:
Ca1 0.0000 0.1859 0.2500
Sn1 0.0000 0.0000 0.0000
Sn2 0.0000 0.2745 0.5844
Sn3 0.0000 0.4510 0.1668
O1 0.0000 0.0721 0.1503
O2 0.0000 0.1837 0.6834
O3 0.0000 0.3733 0.0833
O4 0.0000 0.4722 0.7500

The 10 most intense peaks (10° ≤ 2θ ≤ 90°), sorted by position:
h k l	d_spacing	I_rel
0 2 6	3.125	100
1 1 2	2.988	20
1 1 3	2.870	28
1 1 4	2.726	26
1 3 1	2.387	28
1 3 2	2.349	32
1 3 3	2.290	20
0 0 12	1.921	20
1 5 5	1.669	20
2 2 6	1.435	21


# 2
For CaSnO3, a structure optimized by DFT (GGA-PBE) gives the calculated PXRD pattern in this record (CuKα).
Neutral-atom scattering factors, no anomalous dispersion.

abc: 5.5707 5.5707 15.4856
angles: 90.00 90.00 120.00
Space group R-3 (No. 148, hexagonal axes)
Asymmetric unit:
Ca1 0.0000 0.0000 0.1373
Sn1 0.0000 0.0000 0.3457
O1 0.0200 0.6321 0.9237

The 10 most intense peaks (10° ≤ 2θ ≤ 90°), sorted by position:
h k l	d_spacing	I_rel
0 0 3	5.162	58
1 0 1	4.606	36
0 1 2	4.095	46
1 0 4	3.019	98
1 1 0	2.785	100
2 -1 3	2.451	56
0 2 4	2.047	40
2 -1 6	1.893	72
3 -1 4	1.650	38
3 0 0	1.608	37


# 3
For CaSnO3, a structure optimized by DFT (GGA-PBE) gives the calculated PXRD pattern in this record (CuKα).
Neutral-atom scattering factors, no anomalous dispersion.

abc: 5.7562 8.0014 5.5831
angles: 90.00 90.00 90.00
Space group Pnma (No. 62)
Asymmetric unit:
Ca1 0.0535 0.2500 0.0143
Sn1 0.0000 0.0000 0.5000
O1 0.0421 0.7500 0.3931
O2 0.2005 0.5562 0.8031

The 10 most intense peaks (10° ≤ 2θ ≤ 90°), sorted by position:
h k l	d_spacing	I_rel
1 0 1	4.005	67
2 0 0	2.878	25
1 2 1	2.831	100
0 0 2	2.792	22
0 4 0	2.003	42
2 2 2	1.791	24
3 2 1	1.653	19
2 4 0	1.643	12
1 2 3	1.619	26
2 4 2	1.416	15